# SrGa2Au4
Simulated XRD peak list, CuKα. Input: DFT lattice parameters and positions (GGA-PBE).

Crystal structure
a = 18.230 Å, b = 4.514 Å, c = 7.209 Å
α = 90.00°, β = 90.00°, γ = 90.00°
Atoms (fractional coordinates):
Sr 0.119 0.250 0.000
Sr 0.381 0.750 0.500
Sr 0.619 0.250 0.500
Sr 0.881 0.750 0.000
Ga 0.040 0.750 0.305
Ga 0.238 0.250 0.513
Ga 0.262 0.750 0.013
Ga 0.460 0.250 0.805
Ga 0.540 0.750 0.195
Ga 0.738 0.250 0.987
Ga 0.762 0.750 0.487
Ga 0.960 0.250 0.695
Au 0.035 0.750 0.729
Au 0.096 0.250 0.514
Au 0.183 0.750 0.309
Au 0.193 0.750 0.707
Au 0.307 0.250 0.207
Au 0.317 0.250 0.809
Au 0.404 0.750 0.014
Au 0.465 0.250 0.229
Au 0.535 0.750 0.771
Au 0.596 0.250 0.986
Au 0.683 0.750 0.191
Au 0.693 0.750 0.793
Au 0.807 0.250 0.293
Au 0.817 0.250 0.691
Au 0.904 0.750 0.486
Au 0.965 0.250 0.271

Top 10 peaks for 10° ≤ 2θ ≤ 90°, most intense first:
- 33.3 deg, I = 100, hkl 2 1 2
- 35.6 deg, I = 54, hkl 6 1 0
- 13.2 deg, I = 46, hkl 1 0 1
- 39.9 deg, I = 43, hkl 0 2 0
- 42.9 deg, I = 28, hkl 1 1 3
- 38.8 deg, I = 25, hkl 6 0 2
- 63.5 deg, I = 23, hkl 8 2 2
- 27.8 deg, I = 19, hkl 4 1 0
- 44.5 deg, I = 17, hkl 8 1 0
- 56.9 deg, I = 16, hkl 6 2 2